Entry 1:
This entry pairs a crystal structure of Hg2Pt with its theoretical powder X-ray diffraction pattern. Radiation: Cu Kα (λ = 1.5418 Å). Structure: a cell relaxed with GGA-PBE.
Neutral-atom scattering factors, no anomalous dispersion.

Top 10 peaks for 5 to 70 degrees two-theta, in order of falling intensity:
- hkl 2 0 1, d = 4.955 Å, I 100
- hkl 1 1 2, d = 2.245 Å, I 89
- hkl 4 0 -2, d = 2.482 Å, I 81
- hkl 4 0 2, d = 2.474 Å, I 80
- hkl 3 1 1, d = 2.357 Å, I 69
- hkl 1 1 -1, d = 2.687 Å, I 56
- hkl 3 1 0, d = 2.500 Å, I 43
- hkl 5 1 0, d = 2.029 Å, I 42
- hkl 1 1 -3, d = 1.831 Å, I 30
- hkl 0 0 4, d = 1.768 Å, I 29

Crystal structure
a b c (Å): 13.8866 2.9707 7.0737
angles (deg): 90.00 90.19 90.00
Space group Cm (No. 8)
Unique sites:
Hg 0.0000 0.0000 0.0000
Hg 0.0081 0.5000 0.5002
Hg 0.2490 0.5000 0.9819
Hg 0.2591 0.5000 0.4821
Pt 0.1384 0.0000 0.7261
Pt 0.3694 0.0000 0.2255



Entry 2:
This entry pairs a crystal structure of Hg3Pt with its theoretical powder X-ray diffraction pattern. Radiation: Cu Kα (λ = 1.5418 Å). Structure: a cell relaxed with GGA-PBE.
Neutral-atom scattering factors, no anomalous dispersion.

Top 10 peaks for 5 to 70 degrees two-theta, in order of falling intensity:
- hkl 1 1 2, d = 2.462 Å, I 100
- hkl 3 0 1, d = 2.231 Å, I 95
- hkl 1 2 2, d = 2.222 Å, I 71
- hkl 2 2 1, d = 2.515 Å, I 46
- hkl 2 3 0, d = 2.309 Å, I 44
- hkl 2 2 0, d = 2.831 Å, I 40
- hkl 1 2 1, d = 3.127 Å, I 28
- hkl 3 4 1, d = 1.577 Å, I 25
- hkl 2 1 1, d = 2.882 Å, I 24
- hkl 1 5 2, d = 1.464 Å, I 23

Crystal structure
a b c (Å): 7.3299 8.9183 5.4725
angles (deg): 90.00 90.00 90.00
Space group Pnma (No. 62)
Unique sites:
Hg 0.0097 0.2500 0.0974
Hg 0.1686 0.5431 0.3653
Pt 0.1443 0.2500 0.5804